Record 1
Calculated X-ray powder pattern of Ca4La2Zr4O15 for copper Kα, from a structure optimized by DFT (GGA-PBE).
Intensities are scaled so that the largest is 100.

Principal peaks in the range 10° ≤ 2θ ≤ 90°, low angle first:
- 17.8°, rel. 22, (0 1 2)
- 29.8°, rel. 63, (1 0 10)
- 29.9°, rel. 100, (1 1 0)
- 31.8°, rel. 23, (0 1 11)
- 42.7°, rel. 55, (0 2 10)
- 53.0°, rel. 45, (3 0 0)

Crystal structure
a b c (Å): 5.9746 5.9746 36.8753
angles (deg): 90.00 90.00 120.00
Space group R-3m (No. 166, hexagonal axes)
Unique sites:
Ca: 0.0000 0.0000 0.0000 [3 per cell]
Ca: 0.0000 0.0000 0.1150 [6 per cell]
Ca: 0.0000 0.0000 0.5000 [3 per cell]
La: 0.0000 0.0000 0.3148 [6 per cell]
Zr: 0.0000 0.0000 0.2021 [6 per cell]
Zr: 0.0000 0.0000 0.4027 [6 per cell]
O: 0.0000 0.5000 0.5000 [9 per cell]
O: 0.0097 0.5049 0.1036 [18 per cell]
O: 0.0353 0.5176 0.3024 [18 per cell]

---

Record 2
Calculated X-ray powder pattern of RbAg5S3 for copper Kα, from a structure optimized by DFT (GGA-PBE).
Intensities are scaled so that the largest is 100.

Principal peaks in the range 10° ≤ 2θ ≤ 90°, low angle first:
- 12.9°, rel. 43, (1 1 0)
- 26.0°, rel. 40, (2 2 0)
- 34.2°, rel. 100, (2 2 2)
- 35.0°, rel. 22, (3 1 2)
- 42.4°, rel. 16, (5 1 0)
- 44.4°, rel. 19, (0 0 4)

Crystal structure
a b c (Å): 13.7124 13.7124 8.1591
angles (deg): 90.00 90.00 120.00
Space group P-62c (No. 190)
Unique sites:
Rb: 0.0000 0.0000 0.0000 [2 per cell]
Rb: 0.3333 0.6667 0.0010 [4 per cell]
Ag: 0.0000 0.5366 0.0000 [6 per cell]
Ag: 0.0030 0.3690 0.7500 [6 per cell]
Ag: 0.0052 0.7085 0.7500 [6 per cell]
Ag: 0.1483 0.3327 0.0006 [12 per cell]
S: 0.0878 0.2251 0.2500 [6 per cell]
S: 0.1076 0.5789 0.2500 [6 per cell]
S: 0.2187 0.7801 0.7500 [6 per cell]

---

Record 3
Calculated X-ray powder pattern of OsN2 for copper Kα, from a structure optimized by DFT (GGA-PBE).
Intensities are scaled so that the largest is 100.

Principal peaks in the range 10° ≤ 2θ ≤ 90°, low angle first:
- 31.8°, rel. 100, (1 1 1)
- 36.8°, rel. 71, (2 0 0)
- 53.1°, rel. 47, (2 2 0)
- 63.2°, rel. 53, (3 1 1)
- 87.1°, rel. 23, (3 3 1)
- 89.9°, rel. 20, (4 2 0)

Crystal structure
a b c (Å): 4.879 4.879 4.879
angles (deg): 90.00 90.00 90.00
Space group Pa-3 (No. 205)
Unique sites:
Os: 0.000 0.000 0.000 [4 per cell]
N: 0.084 0.584 0.916 [8 per cell]

---

Record 4
Calculated X-ray powder pattern of Pr2TiGe2 for copper Kα, from a structure optimized by DFT (GGA-PBE).
Intensities are scaled so that the largest is 100.

Principal peaks in the range 10° ≤ 2θ ≤ 90°, low angle first:
- 24.3°, rel. 29, (0 0 4)
- 29.5°, rel. 100, (1 0 0)
- 30.5°, rel. 27, (0 0 5)
- 38.6°, rel. 35, (1 0 4)
- 42.2°, rel. 37, (1 1 0)
- 42.9°, rel. 43, (1 0 5)

Crystal structure
a b c (Å): 3.031 3.031 14.641
angles (deg): 90.00 90.00 90.00
Space group P4/mmm (No. 123)
Unique sites:
Pr: 0.000 0.000 0.121 [2 per cell]
Ti: 0.000 0.000 0.500 [1 per cell]
Ge: 0.000 0.000 0.327 [2 per cell]

---

Record 5
Calculated X-ray powder pattern of ZnSnP2O7 for copper Kα, from a structure optimized by DFT (GGA-PBE).
Intensities are scaled so that the largest is 100.

Principal peaks in the range 10° ≤ 2θ ≤ 90°, low angle first:
- 13.9°, rel. 30, (0 1 1)
- 27.8°, rel. 100, (1 0 2)
- 28.8°, rel. 45, (2 1 -2)
- 31.8°, rel. 45, (1 3 0)
- 38.7°, rel. 32, (1 1 3)
- 40.0°, rel. 32, (2 3 -2)

Crystal structure
a b c (Å): 7.240 9.290 9.340
angles (deg): 90.00 110.14 90.00
Space group P2_1/c (No. 14)
Unique sites:
Zn: 0.198 0.055 0.304 [4 per cell]
Sn: 0.270 0.087 0.918 [4 per cell]
P: 0.015 0.711 0.961 [4 per cell]
P: 0.408 0.748 0.730 [4 per cell]
O: 0.002 0.095 0.660 [4 per cell]
O: 0.013 0.135 0.102 [4 per cell]
O: 0.132 0.189 0.453 [4 per cell]
O: 0.233 0.691 0.081 [4 per cell]
O: 0.364 0.590 0.753 [4 per cell]
O: 0.405 0.239 0.315 [4 per cell]
O: 0.420 0.651 0.360 [4 per cell]

---

Record 6
Calculated X-ray powder pattern of Mg6CuSi for copper Kα, from a structure optimized by DFT (GGA-PBE).
Intensities are scaled so that the largest is 100.

Principal peaks in the range 10° ≤ 2θ ≤ 90°, low angle first:
- 33.7°, rel. 26, (0 2 2)
- 37.1°, rel. 37, (2 0 0)
- 38.6°, rel. 100, (1 2 2)
- 39.5°, rel. 46, (1 0 4)
- 67.9°, rel. 17, (3 2 2)
- 74.1°, rel. 30, (2 2 6)

Crystal structure
a b c (Å): 4.851 6.190 10.346
angles (deg): 90.00 90.00 90.00
Space group Amm2 (No. 38)
Unique sites:
Mg: 0.000 0.000 0.000 [2 per cell]
Mg: 0.000 0.000 0.498 [2 per cell]
Mg: 0.000 0.246 0.240 [4 per cell]
Mg: 0.500 0.249 0.912 [4 per cell]
Cu: 0.500 0.000 0.162 [2 per cell]
Si: 0.500 0.000 0.661 [2 per cell]

---

Record 7
Calculated X-ray powder pattern of Eu3Re for copper Kα, from a structure optimized by DFT (GGA-PBE).
Intensities are scaled so that the largest is 100.

Principal peaks in the range 10° ≤ 2θ ≤ 90°, low angle first:
- 32.6°, rel. 100, (1 1 2)
- 36.0°, rel. 38, (2 0 0)
- 41.1°, rel. 13, (0 0 4)
- 51.9°, rel. 13, (2 2 0)
- 55.8°, rel. 22, (2 0 4)
- 62.6°, rel. 31, (3 1 2)

Crystal structure
a b c (Å): 4.985 4.985 8.793
angles (deg): 90.00 90.00 90.00
Space group I4/mmm (No. 139)
Unique sites:
Eu: 0.000 0.000 0.000 [2 per cell]
Eu: 0.000 0.500 0.250 [4 per cell]
Re: 0.000 0.000 0.500 [2 per cell]

---

Record 8
Calculated X-ray powder pattern of Cs3TlO3 for copper Kα, from a structure optimized by DFT (GGA-PBE).
Intensities are scaled so that the largest is 100.

Principal peaks in the range 10° ≤ 2θ ≤ 90°, low angle first:
- 25.4°, rel. 71, (1 1 -2)
- 25.7°, rel. 56, (1 3 -1)
- 26.4°, rel. 100, (2 2 0)
- 28.0°, rel. 80, (0 2 2)
- 28.1°, rel. 74, (0 4 0)
- 51.6°, rel. 56, (0 2 4)

Crystal structure
a b c (Å): 8.156 12.699 7.534
angles (deg): 90.00 101.82 90.00
Space group C2/m (No. 12)
Unique sites:
Cs: 0.000 0.196 0.000 [4 per cell]
Cs: 0.000 0.257 0.500 [4 per cell]
Cs: 0.133 0.500 0.844 [4 per cell]
Tl: 0.179 0.000 0.651 [4 per cell]
O: 0.098 0.000 0.343 [4 per cell]
O: 0.197 0.358 0.227 [8 per cell]

---

Record 9
Calculated X-ray powder pattern of Cs2Sr2C3O9 for copper Kα, from a structure optimized by DFT (GGA-PBE).
Intensities are scaled so that the largest is 100.

Principal peaks in the range 10° ≤ 2θ ≤ 90°, low angle first:
- 21.4°, rel. 19, (2 1 1)
- 24.8°, rel. 44, (2 2 0)
- 27.7°, rel. 100, (3 1 0)
- 32.9°, rel. 56, (3 2 1)
- 41.6°, rel. 21, (3 3 2)
- 45.5°, rel. 63, (4 1 3)

Crystal structure
a b c (Å): 10.174 10.174 10.174
angles (deg): 90.00 90.00 90.00
Space group I2_13 (No. 199)
Unique sites:
Cs: 0.058 0.442 0.558 [8 per cell]
Sr: 0.203 0.203 0.203 [8 per cell]
C: 0.000 0.250 0.910 [12 per cell]
O: 0.000 0.250 0.782 [12 per cell]
O: 0.027 0.389 0.256 [24 per cell]

---

Record 10
Calculated X-ray powder pattern of HoRe2SiC for copper Kα, from a structure optimized by DFT (GGA-PBE).
Intensities are scaled so that the largest is 100.

Principal peaks in the range 10° ≤ 2θ ≤ 90°, low angle first:
- 29.4°, rel. 43, (0 2 2)
- 33.5°, rel. 100, (1 3 0)
- 34.5°, rel. 76, (1 1 2)
- 35.1°, rel. 34, (0 4 1)
- 40.6°, rel. 36, (0 2 3)
- 44.5°, rel. 35, (1 1 3)

Crystal structure
a b c (Å): 3.937 10.914 7.302
angles (deg): 90.00 90.00 90.00
Space group Cmcm (No. 63)
Unique sites:
Ho: 0.000 0.043 0.250 [4 per cell]
Re: 0.000 0.326 0.061 [8 per cell]
Si: 0.000 0.235 0.750 [4 per cell]
C: 0.000 0.500 0.000 [4 per cell]